Diffraction record for Na3TaS4. The X-ray powder pattern is simulated, not measured: it uses a cell relaxed with PBE and Cu Kα, 1.54184 Å.
Neutral-atom scattering factors, no anomalous dispersion.

Top 8 peaks for 10° ≤ 2θ ≤ 90°, low angle first:
2θ 14.88, I = 30
2θ 16.07, I = 100
2θ 20.17, I = 24
2θ 25.16, I = 90
2θ 33.04, I = 21
2θ 42.00, I = 36
2θ 48.72, I = 26
2θ 50.44, I = 23

Structural model:
```
Na3TaS4
1.0
-3.1127 3.1127 5.9529
3.1127 -3.1127 5.9529
3.1127 3.1127 -5.9529
Na Ta S
3 1 4
direct
0.0000 0.0000 0.0000
0.2500 0.7500 0.5000
0.7500 0.2500 0.5000
0.5000 0.5000 0.0000
0.1766 0.1766 0.5731
0.3965 0.8234 0.0000
0.6035 0.6035 0.4269
0.8234 0.3965 0.0000
```